For Tb2Pr5Sc2, a structure optimized by DFT (GGA-PBE) gives the computed X-ray powder pattern in this record (λ = 1.5418 Å (Cu Kα)).
Neutral-atom scattering factors, no anomalous dispersion.

Atomic structure:
```
data_Tb2Pr5Sc2
_chemical_formula_sum 'Tb8 Pr20 Sc8'
_space_group_name_H-M_alt 'I m m a'
_space_group_IT_number 74
_space_group_name_Hall '-I 2b 2'
_cell_length_a 5.5737
_cell_length_b 21.0788
_cell_length_c 10.0590
_cell_angle_alpha 90.00
_cell_angle_beta 90.00
_cell_angle_gamma 90.00
loop_
_atom_site_label
_atom_site_fract_x
_atom_site_fract_y
_atom_site_fract_z
Tb1 0.0000 0.0000 0.0000
Tb2 0.0000 0.2500 0.4372
Pr1 0.0000 0.1097 0.6357
Pr2 0.0000 0.1564 0.1276
Pr3 0.0000 0.2500 0.8387
Sc1 0.0000 0.0450 0.3386
```

Top 12 peaks for 10° ≤ 2θ ≤ 90°, by angle:
- 2θ 27.04, intensity 46.0, hkl 1 3 2
- 2θ 31.00, intensity 15.8, hkl 0 7 1
- 2θ 31.39, intensity 36.6, hkl 1 6 1
- 2θ 32.06, intensity 100.0, hkl 2 0 0
- 2θ 32.29, intensity 39.6, hkl 1 2 3
- 2θ 34.03, intensity 10.0, hkl 0 8 0
- 2θ 39.72, intensity 10.1, hkl 0 4 4
- 2θ 45.25, intensity 12.4, hkl 2 7 1
- 2θ 51.96, intensity 8.3, hkl 2 4 4
- 2θ 53.95, intensity 13.1, hkl 1 10 3
- 2θ 57.20, intensity 11.3, hkl 3 5 2
- 2θ 65.03, intensity 8.9, hkl 2 7 5


For Tb5Pr12Sc2, a structure optimized by DFT (GGA-PBE) gives the computed X-ray powder pattern in this record (λ = 1.5418 Å (Cu Kα)).
Neutral-atom scattering factors, no anomalous dispersion.

Atomic structure:
```
data_Tb5Pr12Sc2
_chemical_formula_sum 'Tb10 Pr24 Sc4'
_space_group_name_H-M_alt 'C 1 2/m 1'
_space_group_IT_number 12
_space_group_name_Hall '-C 2y'
_cell_length_a 18.6644
_cell_length_b 7.8636
_cell_length_c 9.6913
_cell_angle_alpha 90.00
_cell_angle_beta 113.78
_cell_angle_gamma 90.00
loop_
_atom_site_label
_atom_site_fract_x
_atom_site_fract_y
_atom_site_fract_z
Tb1 0.0000 0.0000 0.0000
Tb2 0.1868 0.5000 0.6949
Tb3 0.2067 0.0000 0.7058
Pr1 0.0152 0.5000 0.1793
Pr2 0.0187 0.0000 0.6839
Pr3 0.1536 0.2304 0.3644
Pr4 0.1561 0.2427 0.9811
Sc1 0.0000 0.3260 0.5000
```

Top 12 peaks for 10° ≤ 2θ ≤ 90°, by angle:
- 2θ 28.47, intensity 67.7, hkl 2 2 1
- 2θ 29.35, intensity 75.2, hkl 2 2 -2
- 2θ 29.73, intensity 77.5, hkl 6 0 -2
- 2θ 30.23, intensity 52.5, hkl 0 0 3
- 2θ 30.38, intensity 65.8, hkl 0 2 2
- 2θ 30.72, intensity 29.1, hkl 1 1 -3
- 2θ 30.92, intensity 100.0, hkl 4 2 0
- 2θ 31.42, intensity 75.0, hkl 6 0 0
- 2θ 33.78, intensity 32.6, hkl 6 0 -3
- 2θ 46.18, intensity 41.1, hkl 0 4 0
- 2θ 56.93, intensity 32.1, hkl 6 4 0
- 2θ 58.95, intensity 33.0, hkl 10 2 0


For Tb12PrSc2, a structure optimized by DFT (GGA-PBE) gives the computed X-ray powder pattern in this record (λ = 1.5418 Å (Cu Kα)).
Neutral-atom scattering factors, no anomalous dispersion.

Atomic structure:
```
data_Tb12PrSc2
_chemical_formula_sum 'Tb12 Pr1 Sc2'
_space_group_name_H-M_alt 'P 1 2/m 1'
_space_group_IT_number 10
_space_group_name_Hall '-P 2y'
_cell_length_a 3.5784
_cell_length_b 4.8461
_cell_length_c 27.7908
_cell_angle_alpha 90.00
_cell_angle_beta 93.67
_cell_angle_gamma 90.00
loop_
_atom_site_label
_atom_site_fract_x
_atom_site_fract_y
_atom_site_fract_z
Tb1 0.0337 0.0000 0.0680
Tb2 0.0965 0.0000 0.1976
Tb3 0.1583 0.0000 0.3208
Tb4 0.2229 0.0000 0.4475
Tb5 0.3102 0.5000 0.6178
Tb6 0.4355 0.5000 0.8673
Pr1 0.5000 0.5000 0.0000
Sc1 0.3725 0.5000 0.7411
```

Top 12 peaks for 10° ≤ 2θ ≤ 90°, by angle:
- 2θ 29.11, intensity 12.8, hkl 0 1 7
- 2θ 31.11, intensity 100.0, hkl 1 1 0
- 2θ 31.74, intensity 93.5, hkl 0 1 8
- 2θ 34.89, intensity 64.3, hkl 1 0 -8
- 2θ 37.10, intensity 36.3, hkl 0 2 0
- 2θ 51.05, intensity 14.6, hkl 2 0 -1
- 2θ 51.84, intensity 41.7, hkl 1 2 -8
- 2θ 60.97, intensity 30.4, hkl 1 1 15
- 2θ 61.37, intensity 28.3, hkl 2 1 7
- 2θ 63.20, intensity 17.6, hkl 1 3 0
- 2θ 63.54, intensity 12.7, hkl 0 3 8
- 2θ 64.77, intensity 14.2, hkl 2 2 -1


For Tb10PrSc4, a structure optimized by DFT (GGA-PBE) gives the computed X-ray powder pattern in this record (λ = 1.5418 Å (Cu Kα)).
Neutral-atom scattering factors, no anomalous dispersion.

Atomic structure:
```
data_Tb10PrSc4
_chemical_formula_sum 'Tb20 Pr2 Sc8'
_space_group_name_H-M_alt 'I 4/m'
_space_group_IT_number 87
_space_group_name_Hall '-I 4'
_cell_length_a 12.2598
_cell_length_b 12.2598
_cell_length_c 6.6793
_cell_angle_alpha 90.00
_cell_angle_beta 90.00
_cell_angle_gamma 90.00
loop_
_atom_site_label
_atom_site_fract_x
_atom_site_fract_y
_atom_site_fract_z
Tb1 0.0000 0.5000 0.2500
Tb2 0.1228 0.2811 0.2448
Pr1 0.0000 0.0000 0.0000
Sc1 0.0690 0.8227 0.5000
```

Top 12 peaks for 10° ≤ 2θ ≤ 90°, by angle:
- 2θ 10.20, intensity 37.5, hkl 1 1 0
- 2θ 22.94, intensity 92.1, hkl 1 3 0
- 2θ 26.69, intensity 45.2, hkl 0 0 2
- 2θ 28.64, intensity 48.5, hkl 1 1 2
- 2θ 32.67, intensity 100.0, hkl 4 2 0
- 2θ 35.48, intensity 91.0, hkl 3 1 2
- 2θ 37.40, intensity 34.8, hkl 1 5 0
- 2θ 41.32, intensity 28.4, hkl 3 3 2
- 2θ 42.67, intensity 46.6, hkl 4 2 2
- 2θ 46.54, intensity 48.9, hkl 1 5 2
- 2θ 46.87, intensity 25.7, hkl 2 6 0
- 2θ 65.46, intensity 37.3, hkl 4 2 4


For Tb2PrSc, a structure optimized by DFT (GGA-PBE) gives the computed X-ray powder pattern in this record (λ = 1.5418 Å (Cu Kα)).
Neutral-atom scattering factors, no anomalous dispersion.

Atomic structure:
```
data_Tb2PrSc
_chemical_formula_sum 'Tb4 Pr2 Sc2'
_space_group_name_H-M_alt 'P m m n'
_space_group_IT_number 59
_cell_length_a 3.5569
_cell_length_b 11.4226
_cell_length_c 6.0921
_cell_angle_alpha 90.00
_cell_angle_beta 90.00
_cell_angle_gamma 90.00
loop_
_space_group_symop_operation_xyz
'x,y,z'
'-x,-y,-z'
'-x+1/2,-y+1/2,z'
'x+1/2,y+1/2,-z'
'x+1/2,-y,-z'
'-x+1/2,y,z'
'-x,y+1/2,-z'
'x,-y+1/2,z'
loop_
_atom_site_label
_atom_site_fract_x
_atom_site_fract_y
_atom_site_fract_z
Tb1 0.2500 0.0088 0.2450
Pr1 0.2500 0.2500 0.5880
Sc1 0.2500 0.7500 0.9208
```

Top 12 peaks for 10° ≤ 2θ ≤ 90°, by angle:
- 2θ 15.52, intensity 14.1, hkl 0 2 0
- 2θ 29.07, intensity 20.0, hkl 1 0 1
- 2θ 30.13, intensity 19.7, hkl 1 1 1
- 2θ 31.32, intensity 42.4, hkl 0 4 0
- 2θ 33.11, intensity 100.0, hkl 1 2 1
- 2θ 33.34, intensity 47.1, hkl 0 2 2
- 2θ 43.26, intensity 12.9, hkl 1 4 1
- 2θ 51.84, intensity 20.9, hkl 1 0 3
- 2θ 56.90, intensity 19.7, hkl 1 6 1
- 2θ 61.42, intensity 13.3, hkl 2 4 0
- 2θ 61.83, intensity 23.7, hkl 1 4 3
- 2θ 62.64, intensity 15.2, hkl 2 2 2


For Tb6PrSc2, a structure optimized by DFT (GGA-PBE) gives the computed X-ray powder pattern in this record (λ = 1.5418 Å (Cu Kα)).
Neutral-atom scattering factors, no anomalous dispersion.

Atomic structure:
```
data_Tb6PrSc2
_chemical_formula_sum 'Tb24 Pr4 Sc8'
_space_group_name_H-M_alt 'C 1 2/c 1'
_space_group_IT_number 15
_space_group_name_Hall '-C 2yc'
_cell_length_a 13.4965
_cell_length_b 12.9443
_cell_length_c 6.5773
_cell_angle_alpha 90.00
_cell_angle_beta 103.85
_cell_angle_gamma 90.00
loop_
_atom_site_label
_atom_site_fract_x
_atom_site_fract_y
_atom_site_fract_z
Tb1 0.0264 0.1403 0.4984
Tb2 0.1208 0.4143 0.3242
Tb3 0.2427 0.2063 0.2357
Pr1 0.0000 0.3567 0.7500
Sc1 0.1821 0.0294 0.8701
```

Top 12 peaks for 10° ≤ 2θ ≤ 90°, by angle:
- 2θ 27.98, intensity 40.6, hkl 1 1 -2
- 2θ 28.23, intensity 25.5, hkl 3 1 1
- 2θ 30.59, intensity 27.9, hkl 4 2 0
- 2θ 30.81, intensity 100.0, hkl 4 2 -1
- 2θ 30.98, intensity 41.3, hkl 0 4 1
- 2θ 31.17, intensity 12.4, hkl 1 1 2
- 2θ 31.28, intensity 36.3, hkl 2 2 -2
- 2θ 34.05, intensity 24.9, hkl 2 0 2
- 2θ 34.28, intensity 21.8, hkl 1 3 -2
- 2θ 35.31, intensity 15.4, hkl 2 4 1
- 2θ 37.01, intensity 24.0, hkl 4 2 -2
- 2θ 44.25, intensity 15.9, hkl 6 0 -2